[1]
Diffraction record for CeTeS3. The X-ray powder pattern is computed, not measured: it uses a cell relaxed with PBE and Cu Kα (weighted mean of Kα1 and Kα2).

Top 10 peaks for 2θ = 15–90°, low angle first:
d (Å)  two_theta  I (rel.)
4.665  19.03  100
3.554  25.05  30
3.514  25.35  36
2.996  29.82  64
2.947  30.33  32
2.418  37.19  30
2.405  37.39  34
2.223  40.58  27
2.218  40.68  29
2.198  41.07  21

```
CeTeS3
1.0
3.9943 0.0000 0.0000
0.0000 9.3294 0.0000
-1.8546 0.0000 7.5867
Ce Te S
2 2 6
direct
0.2325 0.2500 0.0491 Ce
0.7675 0.7500 0.9509 Ce
0.2794 0.7500 0.3536 Te
0.7206 0.2500 0.6464 Te
0.1451 0.7500 0.7141 S
0.3528 0.5737 0.1307 S
0.3528 0.9263 0.1307 S
0.6472 0.0737 0.8693 S
0.6472 0.4263 0.8693 S
0.8549 0.2500 0.2859 S
```

=====

[2]
Diffraction record for Pm2Ho2Al3. The X-ray powder pattern is computed, not measured: it uses a cell relaxed with PBE and Cu Kα (weighted mean of Kα1 and Kα2).

Top 10 peaks for 2θ = 15–90°, low angle first:
d (Å)  two_theta  I (rel.)
3.840  23.16  77
3.448  25.84  71
3.433  25.95  46
2.715  33.00  100
2.566  34.97  93
2.432  36.95  80
2.133  42.38  56
1.569  58.86  48
1.455  63.97  30
1.433  65.10  31

```
Pm2Ho2Al3
1.0
1.7273 -15.3607 0.0000
1.7273 15.3607 0.0000
0.0000 0.0000 3.4483
Pm Ho Al
2 2 3
direct
0.0674 0.9326 0.0000 Pm
0.9326 0.0674 0.0000 Pm
0.1983 0.8017 0.0000 Ho
0.8017 0.1983 0.0000 Ho
0.3632 0.6368 0.5000 Al
0.5000 0.5000 0.5000 Al
0.6368 0.3632 0.5000 Al
```

=====

[3]
Diffraction record for AcHo4Te6. The X-ray powder pattern is computed, not measured: it uses a cell relaxed with PBE and Cu Kα (weighted mean of Kα1 and Kα2).

Top 10 peaks for 2θ = 15–90°, low angle first:
d (Å)  two_theta  I (rel.)
3.784  23.51  23
3.299  27.03  39
3.185  28.01  37
3.092  28.87  100
2.954  30.25  54
2.912  30.71  21
2.322  38.78  28
2.196  41.11  29
2.187  41.28  69
1.546  59.81  28

```
AcHo4Te6
1.0
2.1880 -7.1248 0.0000
2.1880 7.1248 0.0000
0.0000 0.0000 22.3317
Ac Ho Te
2 8 12
direct
0.1550 0.8450 0.7500 Ac
0.8450 0.1550 0.2500 Ac
0.0943 0.9057 0.1219 Ho
0.0943 0.9057 0.3781 Ho
0.3553 0.6447 0.0342 Ho
0.3553 0.6447 0.4658 Ho
0.6447 0.3553 0.5342 Ho
0.6447 0.3553 0.9658 Ho
0.9057 0.0943 0.6219 Ho
0.9057 0.0943 0.8781 Ho
0.0000 0.0000 0.0000 Te
0.0000 0.0000 0.5000 Te
0.1713 0.8287 0.2500 Te
0.2628 0.7372 0.5929 Te
0.2628 0.7372 0.9071 Te
0.4540 0.5460 0.1590 Te
0.4540 0.5460 0.3410 Te
0.5460 0.4540 0.6590 Te
0.5460 0.4540 0.8410 Te
0.7372 0.2628 0.0929 Te
0.7372 0.2628 0.4071 Te
0.8287 0.1713 0.7500 Te
```

=====

[4]
Diffraction record for NaAcTe2O7. The X-ray powder pattern is computed, not measured: it uses a cell relaxed with PBE and Cu Kα (weighted mean of Kα1 and Kα2).

Top 10 peaks for 2θ = 15–90°, low angle first:
d (Å)  two_theta  I (rel.)
3.807  23.36  15
3.277  27.21  100
2.864  31.23  40
2.774  32.27  15
2.739  32.70  31
2.025  44.74  24
1.998  45.40  20
1.760  51.97  16
1.723  53.16  32
1.628  56.51  14

```
NaAcTe2O7
1.0
4.0509 0.0000 0.0000
0.0000 4.0509 0.0000
0.0000 0.0000 11.1494
Na Ac Te O
1 1 2 7
direct
0.0000 0.0000 0.0000 Na
0.0000 0.0000 0.5000 Ac
0.5000 0.5000 0.2876 Te
0.5000 0.5000 0.7124 Te
0.0000 0.5000 0.3281 O
0.0000 0.5000 0.6719 O
0.5000 0.0000 0.3281 O
0.5000 0.0000 0.6719 O
0.5000 0.5000 0.1211 O
0.5000 0.5000 0.5000 O
0.5000 0.5000 0.8789 O
```

=====

[5]
Diffraction record for NpTcO6. The X-ray powder pattern is computed, not measured: it uses a cell relaxed with PBE and Cu Kα (weighted mean of Kα1 and Kα2).

Top 10 peaks for 2θ = 15–90°, low angle first:
d (Å)  two_theta  I (rel.)
4.719  18.80  19
3.337  26.71  66
3.115  28.66  100
2.360  38.14  13
1.881  48.39  55
1.761  51.93  21
1.669  55.04  13
1.557  59.34  15
1.471  63.22  13
1.211  79.07  13

```
NpTcO6
1.0
4.7194 0.0000 0.0000
0.0000 4.7194 0.0000
0.0000 0.0000 8.2913
Np Tc O
2 2 12
direct
0.0000 0.0000 0.2500 Np
0.0000 0.0000 0.7500 Np
0.5000 0.5000 0.0000 Tc
0.5000 0.5000 0.5000 Tc
0.2201 0.2201 0.0000 O
0.2201 0.7799 0.5000 O
0.2793 0.2793 0.3424 O
0.2793 0.2793 0.6576 O
0.2793 0.7207 0.1576 O
0.2793 0.7207 0.8424 O
0.7207 0.2793 0.1576 O
0.7207 0.2793 0.8424 O
0.7207 0.7207 0.3424 O
0.7207 0.7207 0.6576 O
0.7799 0.2201 0.5000 O
0.7799 0.7799 0.0000 O
```

=====

[6]
Diffraction record for Zn2CrH5. The X-ray powder pattern is computed, not measured: it uses a cell relaxed with PBE and Cu Kα (weighted mean of Kα1 and Kα2).

Top 10 peaks for 2θ = 15–90°, low angle first:
d (Å)  two_theta  I (rel.)
4.647  19.10  75
3.344  26.66  22
3.231  27.61  30
2.809  31.86  100
2.324  38.75  91
2.151  42.00  100
2.128  42.49  25
1.772  51.56  37
1.566  58.98  21
1.295  73.07  25

```
Zn2CrH5
1.0
-1.5598 3.3443 3.2308
1.5598 -3.3443 3.2308
1.5598 3.3443 -3.2308
Zn Cr H
2 1 5
direct
0.2203 0.0000 0.2203 Zn
0.7797 0.0000 0.7797 Zn
0.7759 0.2759 0.5000 Cr
0.0386 0.5386 0.5000 H
0.0422 0.2865 0.7557 H
0.5119 0.0119 0.5000 H
0.5308 0.2865 0.2443 H
0.6725 0.6725 0.0000 H
```